Entry 1:
YTe2AuI: simulated powder X-ray diffraction pattern (Cu Kα (weighted mean of Kα1 and Kα2)), based on a DFT-relaxed cell (PBE, Alexandria).
Peak positions follow from Bragg's law for the DFT cell and can differ from measured ones.

Largest 10 diffraction maxima, by angle, 2θ from 5° to 70°:
(1 0 0), 2θ = 16.03°, d = 5.530 Å, I = 65; (0 0 1), 2θ = 16.56°, d = 5.353 Å, I = 29; (1 0 1), 2θ = 23.12°, d = 3.846 Å, I = 28; (1 1 1), 2θ = 28.26°, d = 3.158 Å, I = 47; (2 0 0), 2θ = 32.38°, d = 2.765 Å, I = 100; (0 0 2), 2θ = 33.48°, d = 2.677 Å, I = 46; (2 1 0), 2θ = 36.33°, d = 2.473 Å, I = 18; (2 2 0), 2θ = 46.45°, d = 1.955 Å, I = 36; (2 0 2), 2θ = 47.27°, d = 1.923 Å, I = 69; (2 2 2), 2θ = 58.46°, d = 1.579 Å, I = 37

Lattice parameters (Å, degrees): 5.530 5.530 5.353 90.00 90.00 90.00
Space group P4/mmm (No. 123)
Symmetry-distinct sites (fractional):
1 Y 0.000 0.000 0.000 (multiplicity 1)
2 Te 0.000 0.500 0.500 (multiplicity 2)
3 Au 0.500 0.500 0.500 (multiplicity 1)
4 I 0.500 0.500 0.000 (multiplicity 1)

***

Entry 2:
Ac6TlRu2: simulated powder X-ray diffraction pattern (Cu Kα (weighted mean of Kα1 and Kα2)), based on a DFT-relaxed cell (PBE, Alexandria).
Peak positions follow from Bragg's law for the DFT cell and can differ from measured ones.

Largest 10 diffraction maxima, by angle, 2θ from 5° to 70°:
(0 3 1), 2θ = 26.35°, d = 3.382 Å, I = 23; (3 1 0), 2θ = 27.66°, d = 3.225 Å, I = 41; (2 2 2), 2θ = 28.98°, d = 3.081 Å, I = 100; (2 1 3), 2θ = 30.67°, d = 2.915 Å, I = 49; (1 3 2), 2θ = 31.04°, d = 2.881 Å, I = 80; (2 3 1), 2θ = 31.79°, d = 2.815 Å, I = 44; (3 2 1), 2θ = 32.34°, d = 2.768 Å, I = 35; (3 0 3), 2θ = 35.61°, d = 2.521 Å, I = 23; (0 2 4), 2θ = 35.92°, d = 2.500 Å, I = 23; (5 3 2), 2θ = 54.55°, d = 1.682 Å, I = 41

Lattice parameters (Å, degrees): 10.154 10.630 11.334 90.00 90.00 90.00
Space group Immm (No. 71)
Symmetry-distinct sites (fractional):
1 Ac 0.000 0.205 0.230 (multiplicity 8)
2 Ac 0.186 0.500 0.166 (multiplicity 8)
3 Ac 0.204 0.323 0.500 (multiplicity 8)
4 Tl 0.000 0.000 0.000 (multiplicity 2)
5 Tl 0.000 0.000 0.500 (multiplicity 2)
6 Ru 0.000 0.324 0.000 (multiplicity 4)
7 Ru 0.000 0.500 0.367 (multiplicity 4)